For CsRb5, a structure optimized by DFT (PBE) gives the theoretical powder X-ray diffraction pattern in this record (Cu Kα (weighted mean of Kα1 and Kα2)).

Atomic structure:
Lattice parameters (Å, degrees): 8.155 24.510 5.568 90.00 90.00 90.00
Atoms (fractional coordinates):
Cs 0.000 0.000 0.000
Cs 0.500 0.500 0.000
Rb 0.000 0.172 0.500
Rb 0.000 0.336 0.000
Rb 0.000 0.500 0.500
Rb 0.000 0.664 0.000
Rb 0.000 0.828 0.500
Rb 0.500 0.000 0.500
Rb 0.500 0.164 0.000
Rb 0.500 0.328 0.500
Rb 0.500 0.672 0.500
Rb 0.500 0.836 0.000

Largest 10 diffraction maxima, sorted by position, 10° ≤ 2θ ≤ 90°:
two_theta	intensity	(hkl)
21.78	52	2 0 0
22.18	100	1 3 1
30.99	21	2 6 0
32.15	10	0 0 2
38.44	46	3 3 1
39.17	22	2 0 2
45.26	15	2 6 2
49.97	10	4 6 0
50.17	10	3 9 1
60.67	12	4 6 2